No. 1
For La3Lu, a PBE-relaxed structure gives the calculated powder X-ray diffraction pattern in this record (Cu Kα X-rays).
Peak positions follow from Bragg's law for the DFT cell and can differ from measured ones.

Cell and atoms:
```
La3Lu
1.0
3.708 0.000 0.000
0.000 5.941 0.000
0.000 0.000 6.357
La Lu
3 1
direct
0.000 0.000 0.000
0.000 0.500 0.339
0.500 0.500 0.837
0.500 0.000 0.505
```

Most intense lines, 2θ = 10–90°, most intense first:
2θ 31.74, I = 1000; 2θ 31.93, I = 482; 2θ 30.09, I = 381; 2θ 27.85, I = 230; 2θ 59.06, I = 224; 2θ 54.48, I = 217; 2θ 49.55, I = 190; 2θ 59.81, I = 160; 2θ 41.46, I = 158; 2θ 28.07, I = 119

No. 2
For AcNd2Ga4, a PBE-relaxed structure gives the calculated powder X-ray diffraction pattern in this record (Cu Kα X-rays).
Peak positions follow from Bragg's law for the DFT cell and can differ from measured ones.

Cell and atoms:
```
AcNd2Ga4
1.0
-2.149 2.280 9.469
2.149 -2.280 9.469
2.149 2.280 -9.469
Ac Nd Ga
1 2 4
direct
0.000 0.000 0.000
0.184 0.684 0.500
0.816 0.316 0.500
0.354 0.854 0.500
0.432 0.432 0.000
0.568 0.568 0.000
0.646 0.146 0.500
```

Most intense lines, 2θ = 10–90°, most intense first:
2θ 30.09, I = 1000; 2θ 30.69, I = 513; 2θ 34.37, I = 279; 2θ 39.35, I = 275; 2θ 25.07, I = 257; 2θ 39.53, I = 255; 2θ 52.95, I = 224; 2θ 42.05, I = 214; 2θ 57.01, I = 185; 2θ 28.27, I = 176

No. 3
For Ba8NaAg2Rh, a PBE-relaxed structure gives the calculated powder X-ray diffraction pattern in this record (Cu Kα X-rays).
Peak positions follow from Bragg's law for the DFT cell and can differ from measured ones.

Cell and atoms:
```
Ba8NaAg2Rh
1.0
7.814 0.000 0.000
0.158 8.051 0.000
0.020 0.007 9.919
Ba Na Ag Rh
8 1 2 1
direct
0.230 0.135 0.499
0.259 0.662 0.215
0.260 0.663 0.786
0.264 0.187 0.000
0.736 0.813 0.000
0.740 0.337 0.214
0.741 0.338 0.785
0.770 0.865 0.501
0.500 0.500 0.500
0.000 0.000 0.234
0.000 0.000 0.766
0.500 0.500 0.000
```

Most intense lines, 2θ = 10–90°, most intense first:
2θ 23.85, I = 1000; 2θ 24.06, I = 625; 2θ 38.13, I = 549; 2θ 25.08, I = 540; 2θ 31.35, I = 538; 2θ 31.02, I = 463; 2θ 40.90, I = 330; 2θ 24.68, I = 329; 2θ 36.24, I = 304; 2θ 22.77, I = 293

Which formula does entry 1 have? La3Lu

Number 1 is which compound? La3Lu